No. 1
The following is a simulated powder XRD pattern of KH3Cl6. It was derived from the PBE geometry in Alexandria, using copper Kα.
No peak broadening, texture or thermal motion is included.

Most intense lines, 5 to 70 degrees two-theta, in order of falling intensity:
2θ (°)	intensity
34.15	100
12.75	89
21.20	70
24.82	67
30.87	49
36.00	45
25.66	34
59.07	28
31.52	21
40.56	18

Structural model:
Lattice parameters (Å, degrees): 13.8860 13.8860 5.8426 90.00 90.00 120.00
Space group R3m (No. 160, hexagonal axes)
Asymmetric unit:
K1 0.0000 0.0000 0.0000 (multiplicity 3)
H1 0.0336 0.5168 0.3443 (multiplicity 9)
Cl1 0.0689 0.1378 0.5014 (multiplicity 9)
Cl2 0.1921 0.3841 0.8187 (multiplicity 9)


No. 2
The following is a simulated powder XRD pattern of KMgHCl2. It was derived from the PBE geometry in Alexandria, using copper Kα.
No peak broadening, texture or thermal motion is included.

Most intense lines, 5 to 70 degrees two-theta, in order of falling intensity:
2θ (°)	intensity
34.52	100
33.74	85
28.89	72
45.61	37
59.85	33
49.62	31
23.14	25
61.35	22
47.29	18
41.97	17

Structural model:
Lattice parameters (Å, degrees): 5.197 5.197 3.844 90.00 90.00 90.00
Space group P4/mmm (No. 123)
Asymmetric unit:
K1 0.000 0.000 0.000 (multiplicity 1)
Mg1 0.500 0.500 0.500 (multiplicity 1)
H1 0.500 0.500 0.000 (multiplicity 1)
Cl1 0.000 0.500 0.500 (multiplicity 2)